[1]
For NdSm3Th4As8, a DFT-relaxed cell (PBE, Alexandria) gives the computed XRD peak list in this record (a wavelength of 1.5418 Å).
Intensities are scaled so that the largest is 100.

Peak list (12 most intense, 10° ≤ 2θ ≤ 90°, in order of rising 2θ)
Position (°2θ)  I/Imax
25.7  24
25.8  8
29.8  100
42.5  38
42.7  38
50.4  12
52.8  20
53.1  7
61.9  13
70.0  18
70.3  17
78.0  13

Cell and atoms:
a = 8.4988 Å, b = 8.4988 Å, c = 20.7110 Å
α = 90.00°, β = 90.00°, γ = 120.00°
Space group R-3m (No. 166, hexagonal axes)
Unique sites:
Nd 0.0000 0.0000 0.0000 (multiplicity 3)
Sm 0.0000 0.5000 0.0000 (multiplicity 9)
Th 0.0000 0.0000 0.5000 (multiplicity 3)
Th 0.0000 0.5000 0.5000 (multiplicity 9)
As 0.0000 0.0000 0.2501 (multiplicity 6)
As 0.0014 0.5007 0.2498 (multiplicity 18)


[2]
For MgInAg3Hg, a DFT-relaxed cell (PBE, Alexandria) gives the computed XRD peak list in this record (a wavelength of 1.5418 Å).
Intensities are scaled so that the largest is 100.

Peak list (12 most intense, 10° ≤ 2θ ≤ 90°, in order of rising 2θ)
Position (°2θ)  I/Imax
12.1  33
29.4  58
33.7  43
35.4  31
35.8  100
36.4  41
37.0  85
38.6  49
39.1  67
41.1  35
45.3  35
46.9  32

Cell and atoms:
a = 5.5498 Å, b = 6.0744 Å, c = 7.3232 Å
α = 90.00°, β = 95.13°, γ = 90.00°
Space group P2/m (No. 10)
Unique sites:
Mg 0.1921 0.0000 0.1864 (multiplicity 2)
In 0.1833 0.5000 0.1851 (multiplicity 2)
Ag 0.0000 0.2447 0.5000 (multiplicity 2)
Ag 0.2975 0.2410 0.8598 (multiplicity 4)
Hg 0.5000 0.2447 0.5000 (multiplicity 2)


[3]
For Ce5P4H, a DFT-relaxed cell (PBE, Alexandria) gives the computed XRD peak list in this record (a wavelength of 1.5418 Å).
Intensities are scaled so that the largest is 100.

Peak list (12 most intense, 10° ≤ 2θ ≤ 90°, in order of rising 2θ)
Position (°2θ)  I/Imax
27.1  71
27.3  22
31.5  100
45.0  38
45.2  33
53.3  11
53.4  22
55.9  19
65.7  11
74.4  16
74.9  13
83.2  11

Cell and atoms:
a = 4.0324 Å, b = 4.0324 Å, c = 48.9445 Å
α = 90.00°, β = 90.00°, γ = 120.00°
Space group R-3m (No. 166, hexagonal axes)
Unique sites:
Ce 0.0000 0.0000 0.0000 (multiplicity 3)
Ce 0.0000 0.0000 0.1968 (multiplicity 6)
Ce 0.0000 0.0000 0.4024 (multiplicity 6)
P 0.0000 0.0000 0.1037 (multiplicity 6)
P 0.0000 0.0000 0.2989 (multiplicity 6)
H 0.0000 0.0000 0.5000 (multiplicity 3)


[4]
For Os3Cl, a DFT-relaxed cell (PBE, Alexandria) gives the computed XRD peak list in this record (a wavelength of 1.5418 Å).
Intensities are scaled so that the largest is 100.

Peak list (12 most intense, 10° ≤ 2θ ≤ 90°, in order of rising 2θ)
Position (°2θ)  I/Imax
10.1  60
20.4  11
37.7  7
39.6  100
41.4  29
46.6  63
66.8  22
69.3  19
80.5  13
81.7  25
84.1  11
85.3  11

Cell and atoms:
a = 2.8015 Å, b = 2.8015 Å, c = 26.1613 Å
α = 90.00°, β = 90.00°, γ = 120.00°
Space group R-3m (No. 166, hexagonal axes)
Unique sites:
Os 0.0000 0.0000 0.0000 (multiplicity 3)
Os 0.0000 0.0000 0.2520 (multiplicity 6)
Cl 0.0000 0.0000 0.5000 (multiplicity 3)